This entry pairs a crystal structure of Er3Co8Sn4 with its theoretical powder diffraction line list. Radiation: CuKα. Structure: the GGA-PBE geometry in the Materials Project.

The 10 most intense peaks (5 to 70 degrees two-theta), most intense first:
2θ = 33.55°, I = 100, hkl 2 0 2; 2θ = 41.13°, I = 87, hkl 2 2 0; 2θ = 37.45°, I = 34, hkl 3 0 1; 2θ = 33.39°, I = 28, hkl 2 1 1; 2θ = 65.19°, I = 28, hkl 3 2 3; 2θ = 43.28°, I = 27, hkl 2 0 3; 2θ = 37.84°, I = 26, hkl 1 0 3; 2θ = 39.49°, I = 25, hkl 2 1 2; 2θ = 26.28°, I = 20, hkl 2 0 1; 2θ = 54.08°, I = 13, hkl 4 0 2

Structural model:
a b c (Å): 8.779 8.779 7.508
angles (deg): 90.00 90.00 120.00
Element x y z (fractional)
Er  0.049  0.525  0.000
Er  0.475  0.525  0.000
Er  0.475  0.951  0.000
Er  0.525  0.049  0.500
Er  0.525  0.475  0.500
Er  0.951  0.475  0.500
Co  0.000  0.000  0.288
Co  0.000  0.000  0.788
Co  0.099  0.199  0.030
Co  0.099  0.901  0.030
Co  0.161  0.322  0.344
Co  0.161  0.839  0.344
Co  0.199  0.099  0.530
Co  0.322  0.161  0.844
Co  0.333  0.667  0.656
Co  0.667  0.333  0.156
Co  0.678  0.839  0.344
Co  0.801  0.901  0.030
Co  0.839  0.161  0.844
Co  0.839  0.678  0.844
Co  0.901  0.099  0.530
Co  0.901  0.801  0.530
Sn  0.171  0.342  0.713
Sn  0.171  0.829  0.713
Sn  0.333  0.667  0.306
Sn  0.342  0.171  0.213
Sn  0.658  0.829  0.713
Sn  0.667  0.333  0.806
Sn  0.829  0.171  0.213
Sn  0.829  0.658  0.213